(1)
TbGa4Ni: simulated powder diffraction line list (Cu Kα X-rays), based on a GGA-PBE-relaxed structure.
Intensities are scaled so that the largest is 100.

Crystal structure
Lattice parameters (Å, degrees): 4.142 15.260 6.551 90.00 90.00 90.00
Space group Cmcm (No. 63)
Unique sites:
Tb (0.000, 0.118, 0.250) x4
Ga (0.000, 0.072, 0.750) x4
Ga (0.000, 0.315, 0.051) x8
Ga (0.000, 0.500, 0.000) x4
Ni (0.000, 0.225, 0.750) x4

Principal peaks in the range 10 to 90 degrees two-theta, low angle first:
2theta, I/Imax, (hkl)
35.4, 100, 1 1 2
36.1, 17, 0 4 2
36.6, 53, 1 5 0
38.0, 30, 0 6 1
39.2, 34, 1 5 1
39.3, 17, 1 3 2
43.7, 38, 2 0 0
45.1, 24, 0 6 2
59.2, 16, 2 6 1
64.6, 16, 2 6 2



(2)
Tb2GaNi2: simulated powder diffraction line list (Cu Kα X-rays), based on a GGA-PBE-relaxed structure.
Intensities are scaled so that the largest is 100.

Crystal structure
Lattice parameters (Å, degrees): 4.199 5.332 8.262 90.00 90.00 90.00
Space group Immm (No. 71)
Unique sites:
Tb (0.000, 0.000, 0.201) x4
Ga (0.000, 0.500, 0.000) x2
Ni (0.000, 0.268, 0.500) x4

Principal peaks in the range 10 to 90 degrees two-theta, low angle first:
2theta, I/Imax, (hkl)
27.0, 42, 1 1 0
34.8, 100, 1 1 2
36.7, 35, 0 1 3
39.1, 29, 1 0 3
40.3, 27, 0 2 2
41.6, 45, 1 2 1
43.1, 31, 2 0 0
57.9, 19, 2 1 3
60.4, 16, 2 2 2
70.7, 34, 1 2 5



(3)
Tb4Ga21Ni10: simulated powder diffraction line list (Cu Kα X-rays), based on a GGA-PBE-relaxed structure.
Intensities are scaled so that the largest is 100.

Crystal structure
Lattice parameters (Å, degrees): 20.853 4.077 15.453 90.00 123.94 90.00
Space group C2/m (No. 12)
Unique sites:
Tb (0.120, 0.000, 0.334) x4
Tb (0.229, 0.000, 0.823) x4
Ga (0.000, 0.500, 0.500) x2
Ga (0.006, 0.000, 0.090) x4
Ga (0.040, 0.500, 0.369) x4
Ga (0.065, 0.000, 0.796) x4
Ga (0.102, 0.500, 0.997) x4
Ga (0.114, 0.500, 0.702) x4
Ga (0.116, 0.000, 0.552) x4
Ga (0.127, 0.500, 0.196) x4
Ga (0.201, 0.000, 0.003) x4
Ga (0.203, 0.500, 0.503) x4
Ga (0.248, 0.000, 0.295) x4
Ni (0.002, 0.500, 0.185) x4
Ni (0.024, 0.000, 0.607) x4
Ni (0.133, 0.000, 0.105) x4
Ni (0.153, 0.500, 0.886) x4
Ni (0.249, 0.000, 0.614) x4

Principal peaks in the range 10 to 90 degrees two-theta, low angle first:
2theta, I/Imax, (hkl)
33.6, 30, 1 1 -4
36.7, 25, 3 1 -5
37.1, 60, 5 1 -5
37.6, 85, 5 1 1
37.9, 51, 7 1 -2
38.2, 50, 7 1 -4
38.3, 79, 1 1 4
41.8, 25, 8 0 0
44.4, 100, 0 2 0
45.6, 29, 1 1 -6



(4)
TbGaNi4: simulated powder diffraction line list (Cu Kα X-rays), based on a GGA-PBE-relaxed structure.
Intensities are scaled so that the largest is 100.

Crystal structure
Lattice parameters (Å, degrees): 8.5891 8.5891 4.0231 90.00 90.00 120.00
Space group P6/mmm (No. 191)
Unique sites:
Tb (0.0000, 0.0000, 0.0000) x1
Tb (0.3333, 0.6667, 0.5000) x2
Ga (0.0000, 0.5000, 0.0000) x3
Ni (0.0000, 0.3061, 0.5000) x6
Ni (0.1802, 0.3603, 0.0000) x6

Principal peaks in the range 10 to 90 degrees two-theta, low angle first:
2theta, I/Imax, (hkl)
25.2, 41, 1 0 1
32.8, 68, 2 0 1
36.2, 58, 3 0 0
39.1, 83, 2 1 1
42.1, 77, 2 2 0
42.8, 100, 3 0 1
45.1, 59, 0 0 2
48.0, 47, 2 2 1
59.1, 28, 3 0 2
63.4, 44, 2 2 2



(5)
Ga2Ni5Te4: simulated powder diffraction line list (Cu Kα X-rays), based on a GGA-PBE-relaxed structure.
Intensities are scaled so that the largest is 100.

Crystal structure
Lattice parameters (Å, degrees): 3.8661 3.8661 15.4948 90.00 90.00 120.00
Space group P-3m1 (No. 164)
Unique sites:
Ga (0.3333, 0.6667, 0.2450) x2
Ni (0.0000, 0.0000, 0.1718) x2
Ni (0.0000, 0.0000, 0.3316) x2
Ni (0.0000, 0.0000, 0.5000) x1
Te (0.3333, 0.6667, 0.5916) x2
Te (0.3333, 0.6667, 0.9059) x2

Principal peaks in the range 10 to 90 degrees two-theta, low angle first:
2theta, I/Imax, (hkl)
27.3, 8, 0 1 1
31.9, 100, 0 1 3
44.3, 51, 0 1 6
47.0, 51, 1 1 0
57.9, 18, 2 0 3
60.5, 13, 1 0 9
66.6, 15, 2 0 6
77.7, 15, 1 2 3
85.4, 15, 1 2 6
87.4, 8, 3 0 0



(6)
Ti4Ga3Ni2: simulated powder diffraction line list (Cu Kα X-rays), based on a GGA-PBE-relaxed structure.
Intensities are scaled so that the largest is 100.

Crystal structure
Lattice parameters (Å, degrees): 7.3253 7.3253 2.8209 90.00 90.00 120.00
Space group P-62m (No. 189)
Unique sites:
Ti (0.0000, 0.0000, 0.0000) x1
Ti (0.0000, 0.3669, 0.0000) x3
Ga (0.0000, 0.6863, 0.5000) x3
Ni (0.3333, 0.6667, 0.5000) x2

Principal peaks in the range 10 to 90 degrees two-theta, low angle first:
2theta, I/Imax, (hkl)
40.4, 86, 1 1 1
42.8, 100, 3 0 0
42.9, 24, 2 0 1
49.9, 15, 2 1 1
54.2, 12, 3 0 1
60.3, 21, 2 2 1
73.2, 13, 3 2 1
76.7, 17, 4 1 1
78.3, 12, 3 3 0
82.1, 26, 3 0 2



(7)
Ti6Ga16Ni7: simulated powder diffraction line list (Cu Kα X-rays), based on a GGA-PBE-relaxed structure.
Intensities are scaled so that the largest is 100.

Crystal structure
Lattice parameters (Å, degrees): 11.860 11.860 11.860 90.00 90.00 90.00
Space group Fm-3m (No. 225)
Unique sites:
Ti (0.000, 0.000, 0.189) x24
Ga (0.121, 0.121, 0.379) x32
Ga (0.156, 0.156, 0.156) x32
Ni (0.000, 0.000, 0.500) x4
Ni (0.000, 0.250, 0.250) x24

Principal peaks in the range 10 to 90 degrees two-theta, low angle first:
2theta, I/Imax, (hkl)
37.1, 10, 4 2 2
39.5, 39, 3 3 3
43.2, 100, 4 4 0
45.2, 17, 5 3 1
45.9, 12, 6 0 0
51.1, 13, 6 2 2
62.7, 9, 8 0 0
72.6, 9, 9 1 1
79.1, 13, 8 4 4
80.6, 13, 9 3 3



(8)
Ti2GaNi: simulated powder diffraction line list (Cu Kα X-rays), based on a GGA-PBE-relaxed structure.
Intensities are scaled so that the largest is 100.

Crystal structure
Lattice parameters (Å, degrees): 6.158 6.158 6.158 90.00 90.00 90.00
Space group F-43m (No. 216)
Unique sites:
Ti (0.000, 0.000, 0.000) x4
Ti (0.250, 0.250, 0.250) x4
Ga (0.000, 0.000, 0.500) x4
Ni (0.250, 0.250, 0.750) x4

Principal peaks in the range 10 to 90 degrees two-theta, low angle first:
2theta, I/Imax, (hkl)
25.0, 4, 1 1 1
41.5, 100, 2 2 0
49.1, 3, 3 1 1
60.1, 15, 4 0 0
66.1, 1, 3 3 1
75.7, 30, 4 2 2
81.2, 1, 5 1 1



(9)
Tm4Ga21Ni10: simulated powder diffraction line list (Cu Kα X-rays), based on a GGA-PBE-relaxed structure.
Intensities are scaled so that the largest is 100.

Crystal structure
Lattice parameters (Å, degrees): 20.771 4.047 15.506 90.00 123.67 90.00
Space group C2/m (No. 12)
Unique sites:
Tm (0.120, 0.000, 0.333) x4
Tm (0.231, 0.000, 0.827) x4
Ga (0.000, 0.500, 0.500) x2
Ga (0.007, 0.000, 0.091) x4
Ga (0.040, 0.500, 0.367) x4
Ga (0.065, 0.000, 0.796) x4
Ga (0.102, 0.500, 0.996) x4
Ga (0.115, 0.500, 0.704) x4
Ga (0.117, 0.000, 0.552) x4
Ga (0.128, 0.500, 0.196) x4
Ga (0.202, 0.000, 0.004) x4
Ga (0.202, 0.500, 0.503) x4
Ga (0.247, 0.000, 0.293) x4
Ni (0.002, 0.500, 0.185) x4
Ni (0.024, 0.000, 0.607) x4
Ni (0.134, 0.000, 0.105) x4
Ni (0.153, 0.500, 0.886) x4
Ni (0.249, 0.500, 0.385) x4

Principal peaks in the range 10 to 90 degrees two-theta, low angle first:
2theta, I/Imax, (hkl)
33.6, 22, 1 1 -4
36.7, 25, 3 1 -5
37.1, 49, 5 1 -5
37.7, 86, 5 1 1
38.2, 100, 1 1 4
38.4, 37, 7 1 -4
41.8, 23, 8 0 0
43.6, 19, 10 0 -4
44.8, 72, 0 2 0
45.4, 20, 1 1 -6



(10)
Tm3Ga2Ni6: simulated powder diffraction line list (Cu Kα X-rays), based on a GGA-PBE-relaxed structure.
Intensities are scaled so that the largest is 100.

Crystal structure
Lattice parameters (Å, degrees): 8.814 8.814 8.814 90.00 90.00 90.00
Space group Im-3m (No. 229)
Unique sites:
Tm (0.000, 0.000, 0.290) x12
Ga (0.250, 0.250, 0.250) x8
Ni (0.000, 0.339, 0.339) x24

Principal peaks in the range 10 to 90 degrees two-theta, low angle first:
2theta, I/Imax, (hkl)
24.7, 24, 2 1 1
32.1, 39, 3 1 0
35.3, 48, 2 2 2
38.2, 25, 3 2 1
41.0, 27, 4 0 0
43.6, 100, 3 3 0
57.3, 21, 5 2 1
65.3, 17, 5 3 2
70.9, 20, 6 2 2
80.0, 27, 6 3 3



(11)
TmGa4Ni: simulated powder diffraction line list (Cu Kα X-rays), based on a GGA-PBE-relaxed structure.
Intensities are scaled so that the largest is 100.

Crystal structure
Lattice parameters (Å, degrees): 4.107 15.148 6.594 90.00 90.00 90.00
Space group Cmcm (No. 63)
Unique sites:
Tm (0.000, 0.120, 0.250) x4
Ga (0.000, 0.071, 0.750) x4
Ga (0.000, 0.315, 0.051) x8
Ga (0.000, 0.500, 0.000) x4
Ni (0.000, 0.226, 0.750) x4

Principal peaks in the range 10 to 90 degrees two-theta, low angle first:
2theta, I/Imax, (hkl)
31.2, 14, 1 3 1
35.4, 100, 1 1 2
36.1, 17, 0 4 2
36.9, 51, 1 5 0
38.2, 31, 0 6 1
39.4, 55, 1 5 1
44.1, 37, 2 0 0
45.2, 22, 0 6 2
59.7, 17, 2 6 1
65.0, 15, 2 6 2